Starting from DFT lattice parameters and positions (GGA+U), the X-ray diffraction stick pattern of La2TiCoO6 was computed for copper Kα.
Intensities are scaled so that the largest is 100.

Main lines, by intensity (2θ = 15–90°):
| 2θ/deg | Rel. int. |
| --- | --- |
| 32.07 | 100.0 |
| 57.17 | 38.3 |
| 45.99 | 33.2 |
| 39.55 | 20.9 |
| 67.08 | 19.4 |
| 76.30 | 16.3 |
| 22.53 | 15.5 |
| 51.80 | 8.2 |
| 80.76 | 6.7 |
| 85.17 | 6.5 |

Cell and atoms:
```
La2TiCoO6
1.0
0.0000 3.9467 3.9467
3.9467 0.0000 3.9467
3.9467 3.9467 0.0000
La Ti Co O
2 1 1 6
Direct
0.2500 0.2500 0.2500
0.7500 0.7500 0.7500
0.0000 0.0000 0.0000
0.5000 0.5000 0.5000
0.2443 0.2443 0.7557
0.2443 0.7557 0.2443
0.2443 0.7557 0.7557
0.7557 0.2443 0.2443
0.7557 0.2443 0.7557
0.7557 0.7557 0.2443
```